Theoretical powder diffractogram
Compound: Bi2S3O12
Radiation: copper Kα
Structure: the GGA-PBE geometry in the Materials Project

Main lines, low angle first (2θ from 10° to 90°):
2θ/deg, Rel. int.
10.3, 53
13.9, 100
17.0, 40
20.7, 36
26.1, 34
26.7, 54
29.3, 83
32.3, 45

Unit cell a=17.5651 b=6.8632 c=8.3509 alpha=90.00 beta=102.38 gamma=90.00
Space group C2/c (No. 15)
One atom of each set of equivalent atoms:
Bi (0.1502, 0.1013, 0.0501)
S (0.0000, 0.0745, 0.7500)
S (0.1863, 0.4104, 0.6912)
O (0.0210, 0.1938, 0.9021)
O (0.0702, 0.0505, 0.2474)
O (0.1393, 0.4086, 0.1637)
O (0.1502, 0.2585, 0.5749)
O (0.1949, 0.3483, 0.8675)
O (0.2304, 0.0517, 0.3230)